No. 1
Theoretical powder diffractogram of Tl8Hg4Pb for Cu Kα, from a crystal structure in Alexandria, relaxed with GGA-PBE.
Kinematic intensities with the Lorentz-polarization factor, no thermal factor.

Structural model:
```
13
Lattice="0.000 6.062 6.062 6.062 0.000 6.062 6.062 6.062 0.000" Properties=species:S:1:pos:R:3 pbc="T T T"
Tl 10.866 7.319 7.319
Tl 4.852 4.852 4.852
Tl 7.271 7.271 4.852
Tl 7.271 4.852 7.271
Tl 4.852 7.271 7.271
Tl 7.319 10.866 7.319
Tl 7.319 7.319 10.866
Tl 10.866 10.866 10.866
Hg 1.815 1.815 1.815
Hg 4.247 4.247 1.815
Hg 4.247 1.815 4.247
Hg 1.815 4.247 4.247
Pb 9.093 9.093 9.093
```

Peak list (10 most intense, 10 to 90 degrees two-theta, by angle)
- 2θ 20.72, I = 23
- 2θ 24.35, I = 39
- 2θ 25.45, I = 29
- 2θ 29.47, I = 90
- 2θ 36.30, I = 100
- 2θ 38.59, I = 38
- 2θ 42.17, I = 75
- 2θ 56.83, I = 40
- 2θ 65.31, I = 68
- 2θ 80.86, I = 30

***

No. 2
Theoretical powder diffractogram of Cs3La3ScTe8 for Cu Kα, from a crystal structure in Alexandria, relaxed with GGA-PBE.
Kinematic intensities with the Lorentz-polarization factor, no thermal factor.

Structural model:
```
15
Lattice="7.983 -4.603 0.000 7.983 4.603 0.000 -5.332 0.000 9.162" Properties=species:S:1:pos:R:3 pbc="T T T"
Cs 0.000 0.000 0.000
Cs 3.991 2.301 0.000
Cs 3.991 -2.301 0.000
La 1.326 2.301 4.581
La 1.326 -2.301 4.581
La 5.317 0.000 4.581
Sc -2.666 0.000 4.581
Te -0.191 0.000 6.278
Te 4.079 2.462 6.279
Te 6.555 2.462 2.884
Te 2.657 0.000 2.756
Te 7.977 0.000 6.406
Te 4.079 -2.462 6.279
Te 6.555 -2.462 2.884
Te 10.825 0.000 2.884
```

Peak list (10 most intense, 10 to 90 degrees two-theta, by angle)
- 2θ 25.83, I = 100
- 2θ 27.63, I = 8
- 2θ 31.98, I = 14
- 2θ 34.46, I = 32
- 2θ 39.12, I = 39
- 2θ 42.70, I = 9
- 2θ 47.47, I = 18
- 2θ 49.58, I = 7
- 2θ 53.10, I = 10
- 2θ 63.14, I = 15

***

No. 3
Theoretical powder diffractogram of Na2FePbCl6 for Cu Kα, from a crystal structure in Alexandria, relaxed with GGA-PBE.
Kinematic intensities with the Lorentz-polarization factor, no thermal factor.

Structural model:
```
10
Lattice="3.477 2.007 6.201 -3.477 2.007 6.201 0.000 -4.015 6.201" Properties=species:S:1:pos:R:3 pbc="T T T"
Na 0.000 0.000 0.000
Na 0.000 0.000 9.150
Fe 0.000 0.000 12.920
Pb 0.000 0.000 3.719
Cl -1.373 -2.169 7.994
Cl -1.974 0.035 11.309
Cl -1.192 2.273 7.994
Cl 0.957 -1.727 11.309
Cl 2.565 -0.104 7.994
Cl 1.017 1.692 11.309
```

Peak list (10 most intense, 10 to 90 degrees two-theta, by angle)
- 2θ 15.47, I = 27
- 2θ 17.54, I = 100
- 2θ 24.18, I = 50
- 2θ 25.62, I = 28
- 2θ 29.45, I = 50
- 2θ 35.52, I = 30
- 2θ 38.92, I = 59
- 2θ 40.81, I = 18
- 2θ 44.31, I = 27
- 2θ 45.17, I = 31

***

No. 4
Theoretical powder diffractogram of Ca3HoTl12 for Cu Kα, from a crystal structure in Alexandria, relaxed with GGA-PBE.
Kinematic intensities with the Lorentz-polarization factor, no thermal factor.

Structural model:
```
16
Lattice="4.865 0.000 0.000 0.000 4.865 0.000 0.000 0.000 19.124" Properties=species:S:1:pos:R:3 pbc="T T T"
Ca 0.000 0.000 0.000
Ca 0.000 0.000 4.855
Ca 0.000 0.000 14.269
Ho 0.000 0.000 9.562
Tl 0.000 2.432 2.414
Tl 0.000 2.432 7.232
Tl 0.000 2.432 11.892
Tl 0.000 2.432 16.711
Tl 2.432 0.000 2.414
Tl 2.432 0.000 7.232
Tl 2.432 0.000 11.892
Tl 2.432 0.000 16.711
Tl 2.432 2.432 0.000
Tl 2.432 2.432 4.810
Tl 2.432 2.432 9.562
Tl 2.432 2.432 14.314
```

Peak list (10 most intense, 10 to 90 degrees two-theta, by angle)
- 2θ 18.24, I = 7
- 2θ 32.06, I = 100
- 2θ 36.96, I = 34
- 2θ 37.63, I = 16
- 2θ 53.26, I = 12
- 2θ 53.77, I = 23
- 2θ 63.53, I = 29
- 2θ 64.43, I = 13
- 2θ 67.04, I = 12
- 2θ 88.30, I = 12